Theoretical powder X-ray diffraction pattern
Compound: Sm5U2Ru5
Radiation: Cu Kα (λ = 1.5418 Å)
Structure: a structure optimized by DFT (GGA-PBE)

Most intense lines, 15 to 90 degrees two-theta, in order of rising 2θ:
18.40 deg, I 46
30.20 deg, I 100
32.73 deg, I 56
35.09 deg, I 90
36.89 deg, I 34
37.28 deg, I 40
39.50 deg, I 39
39.98 deg, I 40

Atomic structure:
Cell: 5.0237 5.2234 11.8222 Å, 101.49 90.51 109.16°
Positions (direct):
Sm  0.0000  0.0000  0.0000
Sm  0.1897  0.3611  0.5462
Sm  0.2995  0.5383  0.8492
Sm  0.7005  0.4617  0.1508
Sm  0.8103  0.6389  0.4538
U  0.3040  0.9369  0.2893
U  0.6960  0.0631  0.7107
Ru  0.1033  0.9223  0.7014
Ru  0.4022  0.8086  0.0980
Ru  0.5000  0.0000  0.5000
Ru  0.5978  0.1914  0.9020
Ru  0.8967  0.0777  0.2986